(1)
Structure and calculated X-ray diffraction stick pattern of Pr5SiPb2 (DFT lattice parameters and positions (GGA-PBE); Cu Kα).
Intensities are scaled so that the largest is 100.

Largest 10 diffraction maxima, in order of rising 2θ, 15 to 90 degrees two-theta:
Position (°2θ)	d_spacing	intensity
29.11	3.068	100.0
29.73	3.005	46.8
30.07	2.971	86.1
31.56	2.835	48.8
32.34	2.768	16.4
33.76	2.655	19.2
34.58	2.594	18.6
38.14	2.359	38.7
49.08	1.856	33.7
58.11	1.587	19.0

Structural model:
```
Pr5SiPb2
1.0
8.5050 0.0000 0.0000
0.0000 12.8468 0.0000
0.0000 0.0000 4.7190
Pr Si Pb
10 2 4
direct
0.0000 0.0000 0.0000 Pr
0.1447 0.2917 0.0000 Pr
0.1928 0.5662 0.5000 Pr
0.3072 0.0662 0.5000 Pr
0.3553 0.7917 0.0000 Pr
0.5000 0.5000 0.0000 Pr
0.6447 0.2083 0.0000 Pr
0.6928 0.9338 0.5000 Pr
0.8072 0.4338 0.5000 Pr
0.8553 0.7083 0.0000 Pr
0.0000 0.5000 0.0000 Si
0.5000 0.0000 0.0000 Si
0.0794 0.8271 0.5000 Pb
0.4206 0.3271 0.5000 Pb
0.5794 0.6729 0.5000 Pb
0.9206 0.1729 0.5000 Pb
```

---

(2)
Structure and calculated X-ray diffraction stick pattern of PrSmPb (DFT lattice parameters and positions (GGA-PBE); Cu Kα).
Intensities are scaled so that the largest is 100.

Largest 10 diffraction maxima, in order of rising 2θ, 15 to 90 degrees two-theta:
Position (°2θ)	d_spacing	intensity
27.01	3.301	28.7
28.82	3.097	84.3
29.94	2.984	43.7
33.74	2.657	100.0
35.71	2.514	24.2
38.57	2.334	62.2
49.58	1.839	43.6
55.69	1.651	21.6
64.52	1.444	19.9
66.71	1.402	28.3

Structural model:
```
PrSmPb
1.0
4.6686 0.0000 0.0000
0.0000 4.6686 0.0000
0.0000 0.0000 8.9524
Pr Sm Pb
2 2 2
direct
0.2500 0.7500 0.0000 Pr
0.7500 0.2500 0.0000 Pr
0.2500 0.2500 0.3490 Sm
0.7500 0.7500 0.6510 Sm
0.2500 0.2500 0.7117 Pb
0.7500 0.7500 0.2883 Pb
```

---

(3)
Structure and calculated X-ray diffraction stick pattern of Pr8Sm5Pb (DFT lattice parameters and positions (GGA-PBE); Cu Kα).
Intensities are scaled so that the largest is 100.

Largest 10 diffraction maxima, in order of rising 2θ, 15 to 90 degrees two-theta:
Position (°2θ)	d_spacing	intensity
25.20	3.534	68.7
27.46	3.248	67.8
29.90	2.988	92.8
30.56	2.925	90.0
31.05	2.880	96.0
31.52	2.838	42.2
31.98	2.798	100.0
33.58	2.669	55.8
34.18	2.623	61.2
34.50	2.599	90.2

Structural model:
```
Pr8Sm5Pb
1.0
6.7978 -4.4608 0.0000
6.7978 4.4608 0.0000
-5.1426 0.0000 8.2808
Pr Sm Pb
8 5 1
direct
0.0696 0.0696 0.2071 Pr
0.1595 0.4942 0.5443 Pr
0.4639 0.2215 0.8503 Pr
0.5058 0.8405 0.4557 Pr
0.5696 0.0205 0.1554 Pr
0.7785 0.5361 0.1497 Pr
0.9304 0.9304 0.7929 Pr
0.9795 0.4304 0.8446 Pr
0.0449 0.9551 0.5000 Sm
0.2761 0.4960 0.2237 Sm
0.5040 0.7239 0.7763 Sm
0.5981 0.2383 0.5642 Sm
0.7617 0.4019 0.4358 Sm
0.3135 0.6865 0.0000 Pb
```

---

(4)
Structure and calculated X-ray diffraction stick pattern of PrSm2Pb3 (DFT lattice parameters and positions (GGA-PBE); Cu Kα).
Intensities are scaled so that the largest is 100.

Largest 10 diffraction maxima, in order of rising 2θ, 15 to 90 degrees two-theta:
Position (°2θ)	d_spacing	intensity
29.51	3.027	100.0
30.68	2.914	45.2
33.60	2.667	72.2
36.68	2.450	28.3
41.90	2.156	19.6
47.22	1.925	14.0
48.55	1.875	25.7
51.12	1.787	22.2
56.89	1.619	16.1
58.97	1.566	14.4

Structural model:
```
PrSm2Pb3
1.0
4.7978 -7.3496 0.0000
4.7978 7.3496 0.0000
-2.6053 0.0000 5.3434
Pr Sm Pb
2 4 6
direct
0.0822 0.9178 0.7500 Pr
0.9178 0.0822 0.2500 Pr
0.2483 0.7517 0.2500 Sm
0.4161 0.5839 0.7500 Sm
0.5839 0.4161 0.2500 Sm
0.7517 0.2483 0.7500 Sm
0.0000 0.5000 0.5000 Pb
0.1695 0.3393 0.9983 Pb
0.3393 0.1695 0.4983 Pb
0.5000 0.0000 0.0000 Pb
0.6607 0.8305 0.5017 Pb
0.8305 0.6607 0.0017 Pb
```

---

(5)
Structure and calculated X-ray diffraction stick pattern of PrSm14Pb (DFT lattice parameters and positions (GGA-PBE); Cu Kα).
Intensities are scaled so that the largest is 100.

Largest 10 diffraction maxima, in order of rising 2θ, 15 to 90 degrees two-theta:
Position (°2θ)	d_spacing	intensity
28.18	3.167	23.9
31.04	2.881	24.0
32.26	2.775	100.0
42.41	2.131	15.4
49.88	1.828	19.7
55.99	1.642	19.3
59.92	1.544	21.8
60.62	1.528	10.8
82.32	1.171	9.0
85.89	1.132	7.2

Structural model:
```
PrSm14Pb
1.0
11.5248 0.0000 0.0000
0.0000 3.6607 6.3262
0.0000 -3.6607 6.3262
Pr Sm Pb
1 14 1
direct
0.0000 0.0000 0.0000 Pr
0.0000 0.5210 0.9991 Sm
0.0000 0.9991 0.5210 Sm
0.2382 0.3445 0.3445 Sm
0.2397 0.3455 0.8347 Sm
0.2397 0.8347 0.3455 Sm
0.2632 0.8412 0.8412 Sm
0.5000 0.0130 0.4994 Sm
0.5000 0.0138 0.0138 Sm
0.5000 0.4994 0.0130 Sm
0.5000 0.5085 0.5085 Sm
0.7368 0.8412 0.8412 Sm
0.7603 0.3455 0.8347 Sm
0.7603 0.8347 0.3455 Sm
0.7618 0.3445 0.3445 Sm
0.0000 0.5081 0.5081 Pb
```

---

(6)
Structure and calculated X-ray diffraction stick pattern of Pr3Sm2Pb (DFT lattice parameters and positions (GGA-PBE); Cu Kα).
Intensities are scaled so that the largest is 100.

Largest 10 diffraction maxima, in order of rising 2θ, 15 to 90 degrees two-theta:
Position (°2θ)	d_spacing	intensity
30.42	2.938	100.0
34.32	2.613	18.1
35.64	2.519	16.5
35.84	2.506	16.2
50.32	1.813	12.3
50.46	1.808	12.2
59.07	1.564	15.1
60.81	1.523	14.1
61.07	1.517	13.9
63.30	1.469	12.4

Structural model:
```
Pr3Sm2Pb
1.0
2.5058 -7.8382 0.0000
2.5058 7.8382 0.0000
0.0000 0.0000 5.0381
Pr Sm Pb
3 2 1
direct
0.0000 0.0000 0.0000 Pr
0.3343 0.6657 0.0000 Pr
0.6657 0.3343 0.0000 Pr
0.1624 0.8376 0.5000 Sm
0.8376 0.1624 0.5000 Sm
0.5000 0.5000 0.5000 Pb
```

---

(7)
Structure and calculated X-ray diffraction stick pattern of Pr6SnPb (DFT lattice parameters and positions (GGA-PBE); Cu Kα).
Intensities are scaled so that the largest is 100.

Largest 10 diffraction maxima, in order of rising 2θ, 15 to 90 degrees two-theta:
Position (°2θ)	d_spacing	intensity
19.80	4.483	1.4
26.68	3.342	1.3
30.90	2.894	100.0
35.83	2.506	50.6
51.57	1.772	36.0
61.34	1.511	42.7
64.39	1.447	12.3
75.93	1.253	5.8
84.19	1.150	17.9
86.91	1.121	16.8

Structural model:
```
Pr6SnPb
1.0
5.0120 0.0000 0.0000
0.0000 5.0120 0.0000
0.0000 0.0000 10.0276
Pr Sn Pb
6 1 1
direct
0.0000 0.0000 0.0000 Pr
0.0000 0.0000 0.5000 Pr
0.0000 0.5000 0.2469 Pr
0.0000 0.5000 0.7531 Pr
0.5000 0.0000 0.2469 Pr
0.5000 0.0000 0.7531 Pr
0.5000 0.5000 0.0000 Sn
0.5000 0.5000 0.5000 Pb
```

---

(8)
Structure and calculated X-ray diffraction stick pattern of Pr3Sn3Pb (DFT lattice parameters and positions (GGA-PBE); Cu Kα).
Intensities are scaled so that the largest is 100.

Largest 10 diffraction maxima, in order of rising 2θ, 15 to 90 degrees two-theta:
Position (°2θ)	d_spacing	intensity
29.37	3.041	85.5
32.92	2.721	100.0
33.40	2.683	21.2
42.02	2.150	28.4
45.07	2.012	19.9
51.74	1.767	10.3
54.40	1.687	25.5
60.93	1.520	17.5
62.99	1.476	17.1
66.48	1.406	11.0

Structural model:
```
Pr3Sn3Pb
1.0
9.2944 0.0000 0.0000
-4.6472 8.0492 0.0000
0.0000 0.0000 6.0789
Pr Sn Pb
6 6 2
direct
0.0855 0.4211 0.2500 Pr
0.3356 0.9145 0.2500 Pr
0.4211 0.3356 0.7500 Pr
0.5789 0.6644 0.2500 Pr
0.6644 0.0855 0.7500 Pr
0.9145 0.5789 0.7500 Pr
0.0620 0.3007 0.7500 Sn
0.2387 0.9380 0.7500 Sn
0.3007 0.2387 0.2500 Sn
0.6993 0.7613 0.7500 Sn
0.7613 0.0620 0.2500 Sn
0.9380 0.6993 0.2500 Sn
0.3333 0.6667 0.7500 Pb
0.6667 0.3333 0.2500 Pb
```

---

(9)
Structure and calculated X-ray diffraction stick pattern of Pr2Sn4Pb (DFT lattice parameters and positions (GGA-PBE); Cu Kα).
Intensities are scaled so that the largest is 100.

Largest 10 diffraction maxima, in order of rising 2θ, 15 to 90 degrees two-theta:
Position (°2θ)	d_spacing	intensity
21.40	4.153	14.3
26.14	3.410	12.2
32.87	2.725	100.0
34.69	2.586	17.7
39.76	2.267	32.1
53.77	1.705	20.7
57.49	1.603	11.1
61.03	1.518	10.3
67.82	1.382	25.6
68.91	1.363	10.0

Structural model:
```
Pr2Sn4Pb
1.0
4.5344 0.0000 0.0000
0.0000 4.5344 0.0000
0.0000 0.0000 10.3435
Pr Sn Pb
2 4 1
direct
0.0000 0.5000 0.2454 Pr
0.5000 0.0000 0.7546 Pr
0.0000 0.0000 0.0000 Sn
0.0000 0.5000 0.7083 Sn
0.5000 0.0000 0.2917 Sn
0.5000 0.5000 0.0000 Sn
0.0000 0.0000 0.5000 Pb
```

---

(10)
Structure and calculated X-ray diffraction stick pattern of Pr2Sn9Pb (DFT lattice parameters and positions (GGA-PBE); Cu Kα).
Intensities are scaled so that the largest is 100.

Largest 10 diffraction maxima, in order of rising 2θ, 15 to 90 degrees two-theta:
Position (°2θ)	d_spacing	intensity
32.17	2.783	100.0
35.42	2.534	18.8
38.23	2.354	32.0
53.10	1.725	24.1
55.17	1.665	11.3
61.56	1.507	14.8
65.32	1.429	27.2
67.29	1.391	12.1
87.28	1.117	12.2
87.41	1.116	5.7

Structural model:
```
Pr2Sn9Pb
1.0
4.7086 0.0000 0.0000
0.0000 4.7086 0.0000
0.0000 0.0000 15.2047
Pr Sn Pb
2 9 1
direct
0.0000 0.0000 0.1541 Pr
0.0000 0.0000 0.8459 Pr
0.0000 0.5000 0.0000 Sn
0.0000 0.5000 0.3302 Sn
0.0000 0.5000 0.6698 Sn
0.5000 0.0000 0.0000 Sn
0.5000 0.0000 0.3302 Sn
0.5000 0.0000 0.6698 Sn
0.5000 0.5000 0.1679 Sn
0.5000 0.5000 0.5000 Sn
0.5000 0.5000 0.8321 Sn
0.0000 0.0000 0.5000 Pb
```

---

(11)
Structure and calculated X-ray diffraction stick pattern of SrPrPb4 (DFT lattice parameters and positions (GGA-PBE); Cu Kα).
Intensities are scaled so that the largest is 100.

Largest 10 diffraction maxima, in order of rising 2θ, 15 to 90 degrees two-theta:
Position (°2θ)	d_spacing	intensity
16.53	5.361	29.1
27.16	3.283	12.3
31.97	2.800	100.0
33.43	2.681	60.7
38.79	2.321	15.9
51.11	1.787	36.4
56.02	1.642	34.9
65.97	1.416	12.8
66.83	1.400	25.8
79.24	1.209	23.5

Structural model:
```
SrPrPb4
1.0
0.0000 4.6430 4.6430
4.6430 0.0000 4.6430
4.6430 4.6430 0.0000
Sr Pr Pb
1 1 4
direct
0.0000 0.0000 0.0000 Sr
0.7500 0.7500 0.7500 Pr
0.3755 0.3755 0.3755 Pb
0.3755 0.3755 0.8735 Pb
0.3755 0.8735 0.3755 Pb
0.8735 0.3755 0.3755 Pb
```

---

(12)
Structure and calculated X-ray diffraction stick pattern of SrPr5Pb6 (DFT lattice parameters and positions (GGA-PBE); Cu Kα).
Intensities are scaled so that the largest is 100.

Largest 10 diffraction maxima, in order of rising 2θ, 15 to 90 degrees two-theta:
Position (°2θ)	d_spacing	intensity
31.05	2.880	100.0
34.27	2.616	19.3
34.70	2.585	18.7
38.89	2.316	13.8
52.79	1.734	11.4
53.09	1.725	11.3
59.31	1.558	8.1
59.43	1.555	8.0
59.87	1.545	8.1
65.57	1.424	12.0

Structural model:
```
SrPr5Pb6
1.0
8.2558 -4.6321 0.0000
8.2558 4.6321 0.0000
-1.6024 0.0000 4.9162
Sr Pr Pb
1 5 6
direct
0.0000 0.0000 0.0000 Sr
0.1671 0.1671 0.6666 Pr
0.3355 0.3355 0.3350 Pr
0.5000 0.5000 0.0000 Pr
0.6645 0.6645 0.6650 Pr
0.8329 0.8329 0.3334 Pr
0.0822 0.5804 0.8312 Pb
0.2521 0.7479 0.5000 Pb
0.4196 0.9178 0.1688 Pb
0.5804 0.0822 0.8312 Pb
0.7479 0.2521 0.5000 Pb
0.9178 0.4196 0.1688 Pb
```